(1)
TbPm5Sm6: theoretical PXRD pattern (Cu Kα), based on DFT lattice parameters and positions (PBE).

Structure:
Cell lengths 6.2937, 10.8970, 12.0472 Å; angles 90.00, 100.04, 90.00 degrees
Space group C2/m (No. 12)
Asymmetric unit:
Tb: 0.0000 0.0000 0.0000 (multiplicity 2)
Pm: 0.0000 0.1665 0.5000 (multiplicity 4)
Pm: 0.0000 0.3333 0.0000 (multiplicity 4)
Pm: 0.0000 0.5000 0.5000 (multiplicity 2)
Sm: 0.2489 0.1664 0.2492 (multiplicity 8)
Sm: 0.2500 0.0000 0.7507 (multiplicity 4)

Top 8 peaks for 2θ from 15° to 90°, in order of falling intensity:
h k l, 2theta, I_rel
1 3 1, 30.13, 100
2 0 2, 34.93, 51
4 0 0, 59.69, 43
1 3 5, 50.23, 36
4 6 0, 81.70, 18
5 3 1, 84.30, 16
2 6 2, 62.64, 12
4 0 4, 73.77, 6

(2)
Tb2Pm3Sm5: theoretical PXRD pattern (Cu Kα), based on DFT lattice parameters and positions (PBE).

Structure:
Cell lengths 9.4609, 13.7806, 11.0634 Å; angles 90.00, 90.00, 90.00 degrees
Space group Ibam (No. 72)
Asymmetric unit:
Tb: 0.0902 0.1259 0.0000 (multiplicity 8)
Pm: 0.0000 0.0000 0.2500 (multiplicity 4)
Pm: 0.2494 0.3748 0.0000 (multiplicity 8)
Sm: 0.0000 0.2503 0.2500 (multiplicity 8)
Sm: 0.0000 0.5000 0.2500 (multiplicity 4)
Sm: 0.0980 0.3760 0.5000 (multiplicity 8)

Top 10 peaks for 2θ from 15° to 90°, in order of falling intensity:
h k l, 2theta, I_rel
0 4 2, 30.57, 100
3 2 1, 32.25, 61
0 0 4, 32.37, 43
3 2 3, 39.82, 35
2 0 2, 24.76, 33
2 0 0, 18.76, 21
3 6 1, 49.80, 18
0 4 6, 56.62, 18
2 4 0, 32.14, 17
2 4 2, 36.11, 16

(3)
TbPm4Sm15: theoretical PXRD pattern (Cu Kα), based on DFT lattice parameters and positions (PBE).

Structure:
Cell lengths 5.1335, 5.1335, 25.6585 Å; angles 90.00, 90.00, 90.00 degrees
Space group P4/mmm (No. 123)
Asymmetric unit:
Tb: 0.0000 0.0000 0.0000 (multiplicity 1)
Pm: 0.0000 0.0000 0.1993 (multiplicity 2)
Pm: 0.0000 0.0000 0.3997 (multiplicity 2)
Sm: 0.0000 0.5000 0.0991 (multiplicity 4)
Sm: 0.0000 0.5000 0.2995 (multiplicity 4)
Sm: 0.0000 0.5000 0.5000 (multiplicity 2)
Sm: 0.5000 0.5000 0.0000 (multiplicity 1)
Sm: 0.5000 0.5000 0.1991 (multiplicity 2)
Sm: 0.5000 0.5000 0.3998 (multiplicity 2)

Top 8 peaks for 2θ from 15° to 90°, in order of falling intensity:
h k l, 2theta, I_rel
1 1 5, 30.16, 100
2 0 0, 34.96, 51
3 1 5, 59.75, 43
2 2 0, 50.28, 36
3 3 5, 81.79, 18
4 2 0, 84.39, 16
2 2 10, 62.70, 12
4 0 0, 73.85, 6

(4)
Tb3Pm3Sm5: theoretical PXRD pattern (Cu Kα), based on DFT lattice parameters and positions (PBE).

Structure:
Cell lengths 11.3174, 11.3174, 3.4630 Å; angles 90.00, 90.00, 120.00 degrees
Space group P-62m (No. 189)
Asymmetric unit:
Tb: 0.0000 0.1594 0.0000 (multiplicity 3)
Pm: 0.0000 0.4033 0.5000 (multiplicity 3)
Sm: 0.0000 0.6611 0.0000 (multiplicity 3)
Sm: 0.3333 0.6667 0.0000 (multiplicity 2)

Top 10 peaks for 2θ from 15° to 90°, in order of falling intensity:
h k l, 2theta, I_rel
3 0 0, 27.30, 100
3 1 0, 32.95, 95
1 1 1, 30.26, 89
2 2 1, 41.20, 81
2 1 1, 35.48, 72
2 2 0, 31.63, 56
6 0 1, 62.91, 51
3 2 1, 48.26, 49
3 1 2, 63.72, 41
2 1 0, 24.02, 37

What did the third record say?
TbPm4Sm15: theoretical PXRD pattern (Cu Kα), based on DFT lattice parameters and positions (PBE).

Structure:
Cell lengths 5.1335, 5.1335, 25.6585 Å; angles 90.00, 90.00, 90.00 degrees
Space group P4/mmm (No. 123)
Asymmetric unit:
Tb: 0.0000 0.0000 0.0000 (multiplicity 1)
Pm: 0.0000 0.0000 0.1993 (multiplicity 2)
Pm: 0.0000 0.0000 0.3997 (multiplicity 2)
Sm: 0.0000 0.5000 0.0991 (multiplicity 4)
Sm: 0.0000 0.5000 0.2995 (multiplicity 4)
Sm: 0.0000 0.5000 0.5000 (multiplicity 2)
Sm: 0.5000 0.5000 0.0000 (multiplicity 1)
Sm: 0.5000 0.5000 0.1991 (multiplicity 2)
Sm: 0.5000 0.5000 0.3998 (multiplicity 2)

Top 8 peaks for 2θ from 15° to 90°, in order of falling intensity:
h k l, 2theta, I_rel
1 1 5, 30.16, 100
2 0 0, 34.96, 51
3 1 5, 59.75, 43
2 2 0, 50.28, 36
3 3 5, 81.79, 18
4 2 0, 84.39, 16
2 2 10, 62.70, 12
4 0 0, 73.85, 6